Record 1
Structure and computed XRD peak list of ReSbI2O (the GGA-PBE geometry in Alexandria; Cu Ka).
Intensities are scaled so that the largest is 100.

Structural model:
Cell: 5.6768 5.6768 3.7732 Å, 90.00 90.00 90.00°
Element x y z (fractional)
Re 0.0000 0.0000 0.0000
Sb 0.5000 0.5000 0.5000
I 0.0000 0.5000 0.0000
I 0.5000 0.0000 0.0000
O 0.0000 0.0000 0.5000

Peak list (6 most intense, 15° ≤ 2θ ≤ 90°, in order of falling intensity)
- 31.52°, I = 100.0
- 28.40°, I = 65.7
- 42.94°, I = 43.8
- 45.18°, I = 36.5
- 58.77°, I = 33.1
- 39.74°, I = 28.6

---

Record 2
Structure and computed XRD peak list of Rb17TlCd11 (the GGA-PBE geometry in Alexandria; Cu Ka).
Intensities are scaled so that the largest is 100.

Structural model:
Cell: 12.2444 12.2444 12.1849 Å, 109.43 109.43 109.50°
Element x y z (fractional)
Rb 0.0000 0.0000 0.0000
Rb 0.0003 0.6818 0.9992
Rb 0.0005 0.0005 0.6786
Rb 0.2823 0.5787 0.5786
Rb 0.2983 0.7194 0.2974
Rb 0.3030 0.3030 0.7243
Rb 0.3180 0.3180 0.3196
Rb 0.4177 0.7040 0.9981
Rb 0.4186 0.9991 0.7026
Rb 0.5787 0.2823 0.5786
Rb 0.5790 0.5790 0.2809
Rb 0.6818 0.0003 0.9992
Rb 0.7015 0.9991 0.4194
Rb 0.7040 0.4177 0.9981
Rb 0.7194 0.2983 0.2974
Rb 0.9991 0.4186 0.7026
Rb 0.9991 0.7015 0.4194
Tl 0.6553 0.6553 0.8279
Cd 0.0004 0.3364 0.1609
Cd 0.1627 0.9988 0.3381
Cd 0.1683 0.3373 0.0009
Cd 0.1686 0.8340 0.8327
Cd 0.3364 0.0004 0.1609
Cd 0.3373 0.1683 0.0009
Cd 0.6634 0.8298 0.6620
Cd 0.8298 0.6634 0.6620
Cd 0.8300 0.8300 0.1647
Cd 0.8340 0.1686 0.8327
Cd 0.9988 0.1627 0.3381

Peak list (6 most intense, 15° ≤ 2θ ≤ 90°, in order of falling intensity)
- 26.78°, I = 100.0
- 29.64°, I = 46.5
- 47.26°, I = 25.6
- 26.85°, I = 20.2
- 29.78°, I = 15.4
- 32.29°, I = 13.6

---

Record 3
Structure and computed XRD peak list of Co2Mo3C (the GGA-PBE geometry in Alexandria; Cu Ka).
Intensities are scaled so that the largest is 100.

Structural model:
Cell: 6.7088 6.7088 6.7088 Å, 90.00 90.00 90.00°
Element x y z (fractional)
Co 0.0716 0.0716 0.0716
Co 0.1784 0.8216 0.3216
Co 0.3216 0.1784 0.8216
Co 0.4284 0.9284 0.5716
Co 0.5716 0.4284 0.9284
Co 0.6784 0.6784 0.6784
Co 0.8216 0.3216 0.1784
Co 0.9284 0.5716 0.4284
Mo 0.0482 0.8750 0.7018
Mo 0.1250 0.2018 0.4518
Mo 0.2018 0.4518 0.1250
Mo 0.2982 0.5482 0.6250
Mo 0.3750 0.7982 0.9518
Mo 0.4518 0.1250 0.2018
Mo 0.5482 0.6250 0.2982
Mo 0.6250 0.2982 0.5482
Mo 0.7018 0.0482 0.8750
Mo 0.7982 0.9518 0.3750
Mo 0.8750 0.7018 0.0482
Mo 0.9518 0.3750 0.7982
C 0.1250 0.6250 0.8750
C 0.3750 0.3750 0.3750
C 0.6250 0.8750 0.1250
C 0.8750 0.1250 0.6250

Peak list (6 most intense, 15° ≤ 2θ ≤ 90°, in order of falling intensity)
- 40.33°, I = 100.0
- 42.62°, I = 59.1
- 44.81°, I = 23.5
- 71.74°, I = 22.6
- 76.46°, I = 20.4
- 29.78°, I = 8.3

---

Record 4
Structure and computed XRD peak list of NdTm6 (the GGA-PBE geometry in Alexandria; Cu Ka).
Intensities are scaled so that the largest is 100.

Structural model:
Cell: 7.0027 7.0027 7.0027 Å, 109.47 109.47 109.47°
Element x y z (fractional)
Nd 0.0000 0.0000 0.0000
Tm 0.2500 0.5000 0.7500
Tm 0.2500 0.7500 0.5000
Tm 0.5000 0.2500 0.7500
Tm 0.5000 0.7500 0.2500
Tm 0.7500 0.2500 0.5000
Tm 0.7500 0.5000 0.2500

Peak list (6 most intense, 15° ≤ 2θ ≤ 90°, in order of falling intensity)
- 27.01°, I = 100.0
- 41.80°, I = 62.5
- 38.57°, I = 42.1
- 21.99°, I = 41.4
- 44.84°, I = 36.9
- 15.50°, I = 29.0